This entry pairs a crystal structure of RbMoNO2 with its computed powder diffractogram. Radiation: Cu Kα (λ = 1.5418 Å). Structure: a crystal structure in Alexandria, relaxed with GGA+U.

Atomic structure:
a = 4.0739 Å, b = 4.0739 Å, c = 3.9973 Å
α = 90.00°, β = 90.00°, γ = 90.00°
Sites, in units of the cell vectors:
Rb 0.0000 0.0000 0.0000
Mo 0.5000 0.5000 0.5000
N 0.5000 0.5000 0.0000
O 0.0000 0.5000 0.5000
O 0.5000 0.0000 0.5000

Peak list (6 most intense, 10 to 90 degrees two-theta, most intense first)
31.35 deg, rel. 100.0
31.05 deg, rel. 47.7
55.42 deg, rel. 39.2
44.48 deg, rel. 33.0
65.42 deg, rel. 19.1
56.00 deg, rel. 17.7


This entry pairs a crystal structure of ZnMoN4O8 with its computed powder diffractogram. Radiation: Cu Kα (λ = 1.5418 Å). Structure: a crystal structure in Alexandria, relaxed with GGA+U.

Atomic structure:
a = 6.8124 Å, b = 6.8124 Å, c = 6.8124 Å
α = 105.45°, β = 105.45°, γ = 117.86°
Sites, in units of the cell vectors:
Zn 0.0000 0.0000 0.0000
Mo 0.7500 0.2500 0.5000
N 0.0272 0.9032 0.2587
N 0.0968 0.3555 0.1240
N 0.2314 0.9728 0.8760
N 0.6445 0.7686 0.7413
O 0.1093 0.3769 0.5998
O 0.4905 0.8907 0.2676
O 0.5349 0.3571 0.3778
O 0.6231 0.2229 0.7324
O 0.6429 0.0206 0.1778
O 0.7771 0.5095 0.4002
O 0.8428 0.4651 0.8222
O 0.9794 0.1572 0.6222

Peak list (6 most intense, 10 to 90 degrees two-theta, most intense first)
16.56 deg, rel. 100.0
27.29 deg, rel. 44.0
21.54 deg, rel. 24.6
43.17 deg, rel. 24.1
29.67 deg, rel. 22.2
41.49 deg, rel. 10.1


This entry pairs a crystal structure of Zn2Mo2NO10 with its computed powder diffractogram. Radiation: Cu Kα (λ = 1.5418 Å). Structure: a crystal structure in Alexandria, relaxed with GGA+U.

Atomic structure:
a = 6.2651 Å, b = 6.2651 Å, c = 6.9575 Å
α = 112.26°, β = 112.26°, γ = 54.62°
Sites, in units of the cell vectors:
Zn 0.0000 0.5000 0.0000
Zn 0.5000 0.0000 0.0000
Mo 0.0564 0.0564 0.2772
Mo 0.9436 0.9436 0.7228
N 0.5000 0.5000 0.5000
O 0.1291 0.1291 0.0799
O 0.1955 0.1955 0.5154
O 0.2309 0.6977 0.2879
O 0.3023 0.7691 0.7121
O 0.3198 0.3198 0.8978
O 0.6802 0.6802 0.1022
O 0.6977 0.2309 0.2879
O 0.7691 0.3023 0.7121
O 0.8045 0.8045 0.4846
O 0.8709 0.8709 0.9201

Peak list (6 most intense, 10 to 90 degrees two-theta, most intense first)
17.76 deg, rel. 100.0
26.23 deg, rel. 62.2
26.98 deg, rel. 54.2
35.78 deg, rel. 47.9
28.77 deg, rel. 45.9
30.20 deg, rel. 28.2